[1]
Structure and simulated PXRD pattern of Tb4Ho3Er3 (a crystal structure in Alexandria, relaxed with GGA-PBE; Cu Kα (λ = 1.5418 Å)).
Neutral-atom scattering factors, no anomalous dispersion.

Atomic structure:
```
Tb4Ho3Er3
1.0
3.702 0.000 0.000
0.000 6.508 6.511
0.000 -6.508 6.511
Tb Ho Er
4 3 3
direct
0.000 0.000 0.000 Tb
0.000 0.257 0.257 Tb
0.000 0.500 0.757 Tb
0.000 0.757 0.500 Tb
0.500 0.299 0.958 Ho
0.500 0.458 0.458 Ho
0.500 0.958 0.299 Ho
0.000 0.128 0.629 Er
0.000 0.629 0.128 Er
0.500 0.799 0.799 Er
```

Peak list (10 most intense, 5° ≤ 2θ ≤ 70°, low angle first)
| 2θ (°) | d_spacing | I/Imax |
| --- | --- | --- |
| 27.40 | 3.255 | 12 |
| 30.71 | 2.911 | 62 |
| 31.00 | 2.885 | 28 |
| 32.53 | 2.753 | 100 |
| 35.15 | 2.553 | 10 |
| 47.56 | 1.912 | 12 |
| 49.23 | 1.851 | 12 |
| 56.73 | 1.623 | 15 |
| 59.15 | 1.562 | 20 |
| 59.57 | 1.552 | 18 |

[2]
Structure and simulated PXRD pattern of Dy12Fe6Sn (a crystal structure in Alexandria, relaxed with GGA-PBE; Cu Kα (λ = 1.5418 Å)).
Neutral-atom scattering factors, no anomalous dispersion.

Atomic structure:
```
Dy12Fe6Sn
1.0
-4.851 4.851 4.851
4.851 -4.851 4.851
4.851 4.851 -4.851
Dy Fe Sn
12 6 1
direct
0.103 0.299 0.804 Dy
0.196 0.494 0.299 Dy
0.196 0.897 0.701 Dy
0.299 0.196 0.494 Dy
0.299 0.804 0.103 Dy
0.494 0.299 0.196 Dy
0.506 0.701 0.804 Dy
0.701 0.196 0.897 Dy
0.701 0.804 0.506 Dy
0.804 0.103 0.299 Dy
0.804 0.506 0.701 Dy
0.897 0.701 0.196 Dy
0.109 0.500 0.609 Fe
0.391 0.891 0.500 Fe
0.500 0.391 0.891 Fe
0.500 0.609 0.109 Fe
0.609 0.109 0.500 Fe
0.891 0.500 0.391 Fe
0.000 0.000 0.000 Sn
```

Peak list (10 most intense, 5° ≤ 2θ ≤ 70°, low angle first)
| 2θ (°) | d_spacing | I/Imax |
| --- | --- | --- |
| 25.98 | 3.430 | 9 |
| 29.11 | 3.068 | 46 |
| 31.96 | 2.801 | 66 |
| 34.59 | 2.593 | 100 |
| 37.07 | 2.425 | 25 |
| 47.81 | 1.903 | 23 |
| 55.21 | 1.664 | 40 |
| 56.95 | 1.617 | 11 |
| 58.66 | 1.574 | 41 |
| 68.37 | 1.372 | 23 |

[3]
Structure and simulated PXRD pattern of Li3Zn2Ni2 (a crystal structure in Alexandria, relaxed with GGA-PBE; Cu Kα (λ = 1.5418 Å)).
Neutral-atom scattering factors, no anomalous dispersion.

Atomic structure:
```
Li3Zn2Ni2
1.0
2.070 1.195 5.996
-2.070 1.195 5.996
0.000 -2.390 5.996
Li Zn Ni
3 2 2
direct
0.000 0.000 0.000 Li
0.143 0.143 0.143 Li
0.857 0.857 0.857 Li
0.424 0.424 0.424 Zn
0.576 0.576 0.576 Zn
0.289 0.289 0.289 Ni
0.711 0.711 0.711 Ni
```

Peak list (10 most intense, 5° ≤ 2θ ≤ 70°, low angle first)
| 2θ (°) | d_spacing | I/Imax |
| --- | --- | --- |
| 14.77 | 5.996 | 23 |
| 25.33 | 3.516 | 100 |
| 29.80 | 2.998 | 20 |
| 43.32 | 2.089 | 87 |
| 43.73 | 2.070 | 87 |
| 47.74 | 1.905 | 18 |
| 51.22 | 1.784 | 14 |
| 53.82 | 1.703 | 21 |
| 63.25 | 1.470 | 26 |
| 69.58 | 1.351 | 10 |

[4]
Structure and simulated PXRD pattern of KAsRu2 (a crystal structure in Alexandria, relaxed with GGA-PBE; Cu Kα (λ = 1.5418 Å)).
Neutral-atom scattering factors, no anomalous dispersion.

Atomic structure:
```
KAsRu2
1.0
2.927 0.000 0.000
0.000 4.201 0.000
-1.273 0.000 6.932
K As Ru
1 1 2
direct
0.000 0.000 0.000 K
0.360 0.500 0.680 As
0.277 0.000 0.484 Ru
0.731 0.500 0.385 Ru
```

Peak list (10 most intense, 5° ≤ 2θ ≤ 70°, low angle first)
| 2θ (°) | d_spacing | I/Imax |
| --- | --- | --- |
| 12.77 | 6.932 | 100 |
| 33.52 | 2.674 | 21 |
| 37.89 | 2.375 | 13 |
| 38.19 | 2.357 | 18 |
| 42.01 | 2.150 | 17 |
| 42.84 | 2.111 | 15 |
| 43.06 | 2.101 | 17 |
| 44.76 | 2.025 | 12 |
| 49.67 | 1.836 | 12 |
| 50.86 | 1.795 | 14 |

[5]
Structure and simulated PXRD pattern of Cd4PtO6 (a crystal structure in Alexandria, relaxed with GGA-PBE; Cu Kα (λ = 1.5418 Å)).
Neutral-atom scattering factors, no anomalous dispersion.

Atomic structure:
```
Cd4PtO6
1.0
5.124 -2.878 0.000
5.124 2.878 0.000
-2.807 0.000 11.578
Cd Pt O
8 2 12
direct
0.084 0.667 0.194 Cd
0.098 0.528 0.899 Cd
0.199 0.801 0.500 Cd
0.404 0.846 0.796 Cd
0.528 0.098 0.399 Cd
0.667 0.084 0.694 Cd
0.801 0.199 0.000 Cd
0.846 0.404 0.296 Cd
0.447 0.824 0.091 Pt
0.824 0.447 0.591 Pt
0.032 0.094 0.661 O
0.094 0.032 0.161 O
0.196 0.489 0.364 O
0.210 0.863 0.939 O
0.489 0.196 0.864 O
0.495 0.495 0.134 O
0.495 0.495 0.634 O
0.599 0.815 0.523 O
0.673 0.822 0.243 O
0.815 0.599 0.023 O
0.822 0.673 0.743 O
0.863 0.210 0.439 O
```

Peak list (10 most intense, 5° ≤ 2θ ≤ 70°, low angle first)
| 2θ (°) | d_spacing | I/Imax |
| --- | --- | --- |
| 17.81 | 4.981 | 16 |
| 20.61 | 4.310 | 21 |
| 30.46 | 2.934 | 79 |
| 30.93 | 2.891 | 100 |
| 31.08 | 2.878 | 45 |
| 31.89 | 2.806 | 43 |
| 33.61 | 2.666 | 13 |
| 45.12 | 2.009 | 34 |
| 54.92 | 1.672 | 18 |
| 56.52 | 1.628 | 22 |

[6]
Structure and simulated PXRD pattern of BaLiLa2 (a crystal structure in Alexandria, relaxed with GGA-PBE; Cu Kα (λ = 1.5418 Å)).
Neutral-atom scattering factors, no anomalous dispersion.

Atomic structure:
```
BaLiLa2
1.0
3.748 0.000 0.000
0.000 6.313 0.000
-0.816 0.000 6.314
Ba Li La
1 1 2
direct
0.000 0.000 0.000 Ba
0.500 0.000 0.500 Li
0.268 0.500 0.718 La
0.732 0.500 0.282 La
```

Peak list (10 most intense, 5° ≤ 2θ ≤ 70°, low angle first)
| 2θ (°) | d_spacing | I/Imax |
| --- | --- | --- |
| 14.03 | 6.313 | 45 |
| 19.89 | 4.464 | 57 |
| 28.27 | 3.157 | 66 |
| 29.41 | 3.037 | 55 |
| 29.85 | 2.993 | 100 |
| 31.69 | 2.824 | 85 |
| 41.25 | 2.189 | 44 |
| 51.04 | 1.789 | 22 |
| 51.25 | 1.783 | 23 |
| 52.24 | 1.751 | 30 |

[7]
Structure and simulated PXRD pattern of HoNbB2 (a crystal structure in Alexandria, relaxed with GGA-PBE; Cu Kα (λ = 1.5418 Å)).
Neutral-atom scattering factors, no anomalous dispersion.

Atomic structure:
```
HoNbB2
1.0
1.721 0.994 5.838
-1.721 0.994 5.838
0.000 -1.987 5.838
Ho Nb B
1 1 2
direct
0.000 0.000 0.000 Ho
0.500 0.500 0.500 Nb
0.236 0.236 0.236 B
0.764 0.764 0.764 B
```

Peak list (10 most intense, 5° ≤ 2θ ≤ 70°, low angle first)
| 2θ (°) | d_spacing | I/Imax |
| --- | --- | --- |
| 15.18 | 5.838 | 11 |
| 30.63 | 2.919 | 37 |
| 31.71 | 2.822 | 100 |
| 36.46 | 2.464 | 88 |
| 51.81 | 1.765 | 31 |
| 53.23 | 1.721 | 29 |
| 61.40 | 1.510 | 16 |
| 62.67 | 1.483 | 29 |
| 63.30 | 1.469 | 14 |
| 66.24 | 1.411 | 15 |

[8]
Structure and simulated PXRD pattern of TlAgBiS2 (a crystal structure in Alexandria, relaxed with GGA-PBE; Cu Kα (λ = 1.5418 Å)).
Neutral-atom scattering factors, no anomalous dispersion.

Atomic structure:
```
TlAgBiS2
1.0
7.222 0.000 0.000
0.000 4.665 0.000
-1.176 0.000 8.375
Tl Ag Bi S
2 2 2 4
direct
0.000 0.123 0.250 Tl
0.000 0.877 0.750 Tl
0.500 0.000 0.000 Ag
0.500 0.000 0.500 Ag
0.500 0.489 0.750 Bi
0.500 0.511 0.250 Bi
0.245 0.348 0.973 S
0.245 0.652 0.473 S
0.755 0.348 0.527 S
0.755 0.652 0.027 S
```

Peak list (10 most intense, 5° ≤ 2θ ≤ 70°, low angle first)
| 2θ (°) | d_spacing | I/Imax |
| --- | --- | --- |
| 21.22 | 4.187 | 29 |
| 22.76 | 3.907 | 53 |
| 24.90 | 3.576 | 80 |
| 25.89 | 3.442 | 31 |
| 30.07 | 2.971 | 100 |
| 30.53 | 2.928 | 30 |
| 32.51 | 2.754 | 92 |
| 43.22 | 2.093 | 32 |
| 45.44 | 1.996 | 39 |
| 51.06 | 1.789 | 29 |

[9]
Structure and simulated PXRD pattern of PaCuNiRu (a crystal structure in Alexandria, relaxed with GGA-PBE; Cu Kα (λ = 1.5418 Å)).
Neutral-atom scattering factors, no anomalous dispersion.

Atomic structure:
```
PaCuNiRu
1.0
3.727 0.000 0.000
0.000 3.964 0.000
0.000 0.000 4.234
Pa Cu Ni Ru
1 1 1 1
direct
0.000 0.000 0.000 Pa
0.000 0.500 0.500 Cu
0.500 0.000 0.500 Ni
0.500 0.500 0.000 Ru
```

Peak list (10 most intense, 5° ≤ 2θ ≤ 70°, low angle first)
| 2θ (°) | d_spacing | I/Imax |
| --- | --- | --- |
| 20.98 | 4.234 | 21 |
| 32.99 | 2.715 | 14 |
| 39.42 | 2.286 | 100 |
| 42.72 | 2.117 | 20 |
| 45.77 | 1.982 | 16 |
| 48.88 | 1.863 | 13 |
| 55.00 | 1.669 | 7 |
| 64.39 | 1.447 | 12 |
| 66.90 | 1.399 | 10 |
| 69.20 | 1.358 | 9 |

[10]
Structure and simulated PXRD pattern of La4Pr (a crystal structure in Alexandria, relaxed with GGA-PBE; Cu Kα (λ = 1.5418 Å)).
Neutral-atom scattering factors, no anomalous dispersion.

Atomic structure:
```
La4Pr
1.0
-1.858 1.858 13.220
1.858 -1.858 13.220
1.858 1.858 -13.220
La Pr
4 1
direct
0.100 0.100 0.000 La
0.301 0.301 0.000 La
0.699 0.699 0.000 La
0.900 0.900 0.000 La
0.500 0.500 0.000 Pr
```

Peak list (8 most intense, 5° ≤ 2θ ≤ 70°, low angle first)
| 2θ (°) | d_spacing | I/Imax |
| --- | --- | --- |
| 29.38 | 3.040 | 100 |
| 33.90 | 2.644 | 17 |
| 34.13 | 2.627 | 34 |
| 48.87 | 1.864 | 24 |
| 49.04 | 1.858 | 12 |
| 57.91 | 1.593 | 15 |
| 58.20 | 1.585 | 29 |
| 60.95 | 1.520 | 13 |

[11]
Structure and simulated PXRD pattern of AcLaNdIr2 (a crystal structure in Alexandria, relaxed with GGA-PBE; Cu Kα (λ = 1.5418 Å)).
Neutral-atom scattering factors, no anomalous dispersion.

Atomic structure:
```
AcLaNdIr2
1.0
7.621 -2.220 0.000
7.621 2.220 0.000
-7.276 0.000 8.787
Ac La Nd Ir
2 2 2 4
direct
0.045 0.045 0.223 Ac
0.955 0.955 0.777 Ac
0.368 0.368 0.452 La
0.632 0.632 0.548 La
0.258 0.258 0.875 Nd
0.742 0.742 0.125 Nd
0.272 0.272 0.620 Ir
0.399 0.399 0.212 Ir
0.601 0.601 0.788 Ir
0.728 0.728 0.380 Ir
```

Peak list (10 most intense, 5° ≤ 2θ ≤ 70°, low angle first)
| 2θ (°) | d_spacing | I/Imax |
| --- | --- | --- |
| 15.70 | 5.646 | 45 |
| 20.21 | 4.394 | 25 |
| 27.03 | 3.299 | 92 |
| 30.46 | 2.935 | 66 |
| 31.70 | 2.823 | 24 |
| 33.20 | 2.698 | 74 |
| 36.29 | 2.475 | 100 |
| 36.62 | 2.454 | 88 |
| 40.64 | 2.220 | 54 |
| 53.45 | 1.714 | 30 |

[12]
Structure and simulated PXRD pattern of LaSiTc3 (a crystal structure in Alexandria, relaxed with GGA-PBE; Cu Kα (λ = 1.5418 Å)).
Neutral-atom scattering factors, no anomalous dispersion.

Atomic structure:
```
LaSiTc3
1.0
4.592 0.000 0.000
0.000 4.592 0.000
0.000 0.000 4.592
La Si Tc
1 1 3
direct
0.000 0.000 0.000 La
0.500 0.500 0.500 Si
0.000 0.500 0.500 Tc
0.500 0.000 0.500 Tc
0.500 0.500 0.000 Tc
```

Peak list (7 most intense, 5° ≤ 2θ ≤ 70°, low angle first)
| 2θ (°) | d_spacing | I/Imax |
| --- | --- | --- |
| 27.47 | 3.247 | 6 |
| 33.81 | 2.651 | 100 |
| 39.24 | 2.296 | 64 |
| 48.57 | 1.875 | 3 |
| 56.70 | 1.623 | 43 |
| 64.14 | 1.452 | 1 |
| 67.68 | 1.384 | 39 |

[13]
Structure and simulated PXRD pattern of Bi12Br5O16 (a crystal structure in Alexandria, relaxed with GGA-PBE; Cu Kα (λ = 1.5418 Å)).
Neutral-atom scattering factors, no anomalous dispersion.

Atomic structure:
```
Bi12Br5O16
1.0
15.756 -1.991 0.000
15.756 1.991 0.000
-0.048 0.000 10.218
Bi Br O
12 5 16
direct
0.029 0.029 0.264 Bi
0.090 0.090 0.885 Bi
0.147 0.147 0.417 Bi
0.205 0.205 0.051 Bi
0.326 0.326 0.279 Bi
0.441 0.441 0.433 Bi
0.559 0.559 0.567 Bi
0.674 0.674 0.721 Bi
0.795 0.795 0.949 Bi
0.853 0.853 0.583 Bi
0.910 0.910 0.115 Bi
0.971 0.971 0.736 Bi
0.278 0.278 0.699 Br
0.388 0.388 0.859 Br
0.500 0.500 0.000 Br
0.612 0.612 0.141 Br
0.722 0.722 0.301 Br
0.043 0.043 0.709 O
0.073 0.073 0.439 O
0.160 0.160 0.871 O
0.177 0.177 0.607 O
0.276 0.276 0.045 O
0.368 0.368 0.486 O
0.395 0.395 0.219 O
0.483 0.483 0.634 O
0.517 0.517 0.366 O
0.605 0.605 0.781 O
0.632 0.632 0.514 O
0.724 0.724 0.955 O
0.823 0.823 0.393 O
0.840 0.840 0.129 O
0.927 0.927 0.561 O
0.957 0.957 0.291 O
```

Peak list (10 most intense, 5° ≤ 2θ ≤ 70°, low angle first)
| 2θ (°) | d_spacing | I/Imax |
| --- | --- | --- |
| 10.30 | 8.590 | 11 |
| 28.54 | 3.128 | 10 |
| 28.60 | 3.121 | 24 |
| 29.65 | 3.013 | 100 |
| 31.27 | 2.861 | 48 |
| 44.04 | 2.056 | 10 |
| 45.57 | 1.991 | 14 |
| 51.56 | 1.772 | 14 |
| 54.64 | 1.680 | 22 |
| 55.29 | 1.661 | 13 |

[14]
Structure and simulated PXRD pattern of NaTlPb6 (a crystal structure in Alexandria, relaxed with GGA-PBE; Cu Kα (λ = 1.5418 Å)).
Neutral-atom scattering factors, no anomalous dispersion.

Atomic structure:
```
NaTlPb6
1.0
4.921 0.000 0.000
0.000 4.921 0.000
0.000 0.000 10.114
Na Tl Pb
1 1 6
direct
0.000 0.000 0.000 Na
0.000 0.000 0.500 Tl
0.000 0.500 0.246 Pb
0.000 0.500 0.754 Pb
0.500 0.000 0.246 Pb
0.500 0.000 0.754 Pb
0.500 0.500 0.000 Pb
0.500 0.500 0.500 Pb
```

Peak list (10 most intense, 5° ≤ 2θ ≤ 70°, low angle first)
| 2θ (°) | d_spacing | I/Imax |
| --- | --- | --- |
| 8.74 | 10.114 | 5 |
| 20.07 | 4.425 | 4 |
| 31.20 | 2.867 | 100 |
| 35.50 | 2.529 | 18 |
| 36.52 | 2.461 | 33 |
| 51.85 | 1.763 | 25 |
| 52.60 | 1.740 | 12 |
| 61.08 | 1.517 | 15 |
| 62.44 | 1.487 | 29 |
| 65.07 | 1.433 | 13 |